[1]
# Co8Ni5
Calculated XRD peak list, Cu Kα, 1.54184 Å. Input: a DFT-relaxed cell (GGA-PBE, OQMD).
Intensities are scaled so that the largest is 100.

The 10 most intense peaks (10 to 90 degrees two-theta), in order of rising 2θ:
two_theta  I (rel.)
39.5  51
43.9  43
44.9  26
45.7  100
46.1  43
47.3  50
49.9  47
53.4  24
77.2  21
85.1  30

Structure:
Cell: 8.489 8.489 8.489 Å, 31.16 31.16 31.16°
Positions (direct):
Co1 0.047 0.047 0.047
Co2 0.083 0.589 0.589
Co3 0.411 0.411 0.917
Co4 0.411 0.917 0.411
Co5 0.589 0.083 0.589
Co6 0.589 0.589 0.083
Co7 0.917 0.411 0.411
Co8 0.953 0.953 0.953
Ni1 0.152 0.152 0.152
Ni2 0.335 0.335 0.335
Ni3 0.500 0.500 0.500
Ni4 0.665 0.665 0.665
Ni5 0.848 0.848 0.848

[2]
# GdAg3S3
Calculated XRD peak list, Cu Kα, 1.54184 Å. Input: a DFT-relaxed cell (GGA-PBE, OQMD).
Intensities are scaled so that the largest is 100.

The 10 most intense peaks (10 to 90 degrees two-theta), in order of rising 2θ:
two_theta  I (rel.)
24.9  27
26.1  50
26.5  100
33.2  59
34.2  70
38.5  49
39.9  84
49.3  22
53.8  18
57.1  33

Structure:
Cell: 7.186 7.186 7.186 Å, 108.12 108.12 108.12°
Positions (direct):
Gd1 0.000 0.000 0.000
Gd2 0.500 0.500 0.500
Ag1 0.092 0.292 0.682
Ag2 0.182 0.792 0.592
Ag3 0.292 0.682 0.092
Ag4 0.592 0.182 0.792
Ag5 0.682 0.092 0.292
Ag6 0.792 0.592 0.182
S1 0.050 0.361 0.352
S2 0.352 0.050 0.361
S3 0.361 0.352 0.050
S4 0.550 0.852 0.861
S5 0.852 0.861 0.550
S6 0.861 0.550 0.852

[3]
# Nd2Ho2CBr4Cl
Calculated XRD peak list, Cu Kα, 1.54184 Å. Input: a DFT-relaxed cell (GGA-PBE, OQMD).
Intensities are scaled so that the largest is 100.

The 10 most intense peaks (10 to 90 degrees two-theta), in order of rising 2θ:
two_theta  I (rel.)
11.1  73
30.4  38
31.1  18
31.9  100
33.8  16
34.4  39
40.6  17
44.4  41
44.8  24
46.9  18

Structure:
Cell: 9.231 9.231 8.157 Å, 102.16 102.16 24.21°
Positions (direct):
Nd1 0.002 0.002 0.287
Nd2 0.998 0.998 0.713
Ho1 0.364 0.364 0.430
Ho2 0.636 0.636 0.570
C1 0.500 0.500 0.500
Br1 0.167 0.167 0.832
Br2 0.174 0.174 0.339
Br3 0.826 0.826 0.661
Br4 0.833 0.833 0.168
Cl1 0.500 0.500 0.000

[4]
# HoAgPbS3
Calculated XRD peak list, Cu Kα, 1.54184 Å. Input: a DFT-relaxed cell (GGA-PBE, OQMD).
Intensities are scaled so that the largest is 100.

The 10 most intense peaks (10 to 90 degrees two-theta), in order of rising 2θ:
two_theta  I (rel.)
23.7  70
24.1  44
26.6  46
27.7  48
27.8  42
30.7  35
32.7  100
33.8  37
44.5  52
44.8  43

Structure:
Cell: 11.891 4.066 11.681 Å, 90.00 90.00 90.00°
Positions (direct):
Ho1 0.028 0.250 0.167
Ho2 0.472 0.750 0.667
Ho3 0.528 0.250 0.333
Ho4 0.972 0.750 0.833
Ag1 0.244 0.750 0.314
Ag2 0.256 0.250 0.814
Ag3 0.744 0.750 0.186
Ag4 0.756 0.250 0.686
Pb1 0.163 0.250 0.519
Pb2 0.337 0.750 0.019
Pb3 0.663 0.250 0.981
Pb4 0.837 0.750 0.481
S1 0.031 0.750 0.340
S2 0.086 0.250 0.933
S3 0.244 0.750 0.671
S4 0.256 0.250 0.171
S5 0.414 0.750 0.433
S6 0.469 0.250 0.840
S7 0.531 0.750 0.160
S8 0.586 0.250 0.567
S9 0.744 0.750 0.829
S10 0.756 0.250 0.329
S11 0.914 0.750 0.067
S12 0.969 0.250 0.660